Entry 1:
For BaSr2Tl9, a DFT-relaxed cell (GGA-PBE, Alexandria) gives the computed powder X-ray diffraction pattern in this record (Cu Kα (weighted mean of Kα1 and Kα2)).
Lines closer than 0.1° are merged.

Cell and atoms:
Cell lengths 5.049, 5.049, 15.116 Å; angles 90.00, 90.00, 90.00 degrees
Atoms (fractional coordinates):
Ba: 0.000 0.000 0.000
Sr: 0.000 0.000 0.338
Sr: 0.000 0.000 0.662
Tl: 0.000 0.500 0.172
Tl: 0.000 0.500 0.500
Tl: 0.000 0.500 0.828
Tl: 0.500 0.000 0.172
Tl: 0.500 0.000 0.500
Tl: 0.500 0.000 0.828
Tl: 0.500 0.500 0.000
Tl: 0.500 0.500 0.331
Tl: 0.500 0.500 0.669

Largest 10 diffraction maxima, in order of rising 2θ, 2θ from 5° to 70°:
- d 5.045, 2θ = 17.6°, I = 5
- d 3.568, 2θ = 25.0°, I = 5
- d 2.913, 2θ = 30.7°, I = 100
- d 2.523, 2θ = 35.6°, I = 51
- d 2.256, 2θ = 40.0°, I = 3
- d 2.060, 2θ = 44.0°, I = 2
- d 1.784, 2θ = 51.2°, I = 36
- d 1.682, 2θ = 54.6°, I = 1
- d 1.521, 2θ = 60.9°, I = 43
- d 1.456, 2θ = 63.9°, I = 12



Entry 2:
For Mg2Ni3P, a DFT-relaxed cell (GGA-PBE, Alexandria) gives the computed powder X-ray diffraction pattern in this record (Cu Kα (weighted mean of Kα1 and Kα2)).
Lines closer than 0.1° are merged.

Cell and atoms:
Cell lengths 4.624, 4.624, 4.624 Å; angles 65.23, 65.23, 65.23 degrees
Atoms (fractional coordinates):
Mg: 0.126 0.126 0.126
Mg: 0.874 0.874 0.874
Ni: 0.000 0.500 0.500
Ni: 0.500 0.000 0.500
Ni: 0.500 0.500 0.000
P: 0.500 0.500 0.500

Largest 10 diffraction maxima, in order of rising 2θ, 2θ from 5° to 70°:
- d 4.011, 2θ = 22.2°, I = 51
- d 3.620, 2θ = 24.6°, I = 57
- d 2.298, 2θ = 39.2°, I = 23
- d 2.117, 2θ = 42.7°, I = 96
- d 2.053, 2θ = 44.1°, I = 75
- d 2.006, 2θ = 45.2°, I = 100
- d 1.940, 2θ = 46.8°, I = 30
- d 1.810, 2θ = 50.4°, I = 24
- d 1.689, 2θ = 54.3°, I = 33
- d 1.531, 2θ = 60.5°, I = 13